Structure and theoretical powder XRD pattern of K3Fe2Cl9 (a crystal structure in Alexandria, relaxed with PBE; Cu Kα (λ = 1.5418 Å)).
Intensities are scaled so that the largest is 100.

```
K3Fe2Cl9
1.0
7.0164 0.0000 0.0000
-3.5082 6.0764 0.0000
0.0000 0.0000 8.7218
K Fe Cl
3 2 9
direct
0.0000 0.0000 0.0000
0.3333 0.6667 0.3241
0.6667 0.3333 0.6759
0.3333 0.6667 0.8113
0.6667 0.3333 0.1887
0.0000 0.5000 0.0000
0.1717 0.3434 0.6797
0.1717 0.8283 0.6797
0.3434 0.1717 0.3203
0.5000 0.0000 0.0000
0.5000 0.5000 0.0000
0.6566 0.8283 0.6797
0.8283 0.1717 0.3203
0.8283 0.6566 0.3203
```

Top 10 peaks for 2θ = 15–90°, most intense first:
2θ = 36.03°, rel. 100
2θ = 31.17°, rel. 55
2θ = 17.79°, rel. 37
2θ = 51.59°, rel. 32
2θ = 52.14°, rel. 31
2θ = 30.75°, rel. 19
2θ = 25.14°, rel. 15
2θ = 25.39°, rel. 15
2θ = 65.01°, rel. 14
2θ = 87.93°, rel. 12